Structure and theoretical X-ray powder pattern of SrH4O6 (the GGA-PBE geometry in Alexandria; CuKα).

Lattice parameters (Å, degrees): 7.9115 8.6855 6.1107 90.00 91.81 90.00
Space group C2/c (No. 15)
Inequivalent atoms, fractional coordinates:
Sr 0.0000 0.1900 0.2500
H 0.1556 0.1681 0.7562
H 0.1657 0.4532 0.9241
O 0.1441 0.0863 0.6230
O 0.1753 0.4278 0.4287
O 0.1814 0.2777 0.9222

Main lines, in order of rising 2θ (2θ = 10–90°):
index, Position (°2θ), Rel. int.
1 1 0, 15.2, 45
1 1 -1, 20.8, 72
1 1 1, 21.3, 100
1 3 0, 32.9, 38
1 1 2, 33.4, 51
1 3 1, 36.3, 52
3 1 -1, 38.2, 52
0 4 1, 44.3, 56